This entry pairs a crystal structure of Pm3Sm3Y8 with its theoretical XRD peak list. Radiation: copper Kα. Structure: DFT lattice parameters and positions (GGA-PBE).
Kinematic intensities with the Lorentz-polarization factor, no thermal factor.

```
data_Pm3Sm3Y8
_chemical_formula_sum 'Pm6 Sm6 Y16'
_cell_length_a 5.717
_cell_length_b 10.808
_cell_length_c 15.260
_cell_angle_alpha 90.00
_cell_angle_beta 90.00
_cell_angle_gamma 90.00
_space_group_name_H-M_alt 'I m m m'
_space_group_IT_number 71
_space_group_name_Hall '-I 2 2'
loop_
_atom_site_label
_atom_site_type_symbol
_atom_site_fract_x
_atom_site_fract_y
_atom_site_fract_z
Pm1 Pm 0.000 0.000 0.000
Pm2 Pm 0.000 0.500 0.316
Sm1 Sm 0.000 0.000 0.500
Sm2 Sm 0.000 0.301 0.500
Y1 Y 0.000 0.160 0.280
Y2 Y 0.000 0.340 0.103
```

Top 10 peaks for 2θ = 10–80°, low angle first:
28.7 deg, intensity 22
29.3 deg, intensity 28
30.4 deg, intensity 35
31.3 deg, intensity 49
31.6 deg, intensity 100
33.3 deg, intensity 46
44.2 deg, intensity 25
55.9 deg, intensity 20
57.0 deg, intensity 22
60.8 deg, intensity 15